The following is a simulated powder diffractogram of CsBa2Ag2. It was derived from a crystal structure in Alexandria, relaxed with PBE, using Cu Kα X-rays.

Top 6 peaks for 10° ≤ 2θ ≤ 90°, in order of rising 2θ:
27.9°, intensity 69
28.3°, intensity 11
29.7°, intensity 100
39.1°, intensity 13
45.0°, intensity 11
53.8°, intensity 48

```
10
Lattice="10.118 0.000 0.000 0.000 10.118 0.000 0.000 0.000 4.030" Properties=species:S:1:pos:R:3 pbc="T T T"
Cs 0.000 0.000 0.000
Cs 5.059 5.059 0.000
Ba 1.393 3.666 0.000
Ba 3.666 8.725 0.000
Ba 6.452 1.393 0.000
Ba 8.725 6.452 0.000
Ag 1.535 6.594 2.015
Ag 3.523 1.535 2.015
Ag 6.594 8.582 2.015
Ag 8.582 3.523 2.015
```

The following is a simulated powder diffractogram of Pr5ErTl8. It was derived from a crystal structure in Alexandria, relaxed with PBE, using Cu Kα X-rays.

Top 6 peaks for 10° ≤ 2θ ≤ 90°, in order of rising 2θ:
29.5°, intensity 100
30.0°, intensity 44
35.1°, intensity 39
35.2°, intensity 44
35.5°, intensity 48
46.6°, intensity 28

```
14
Lattice="-4.790 4.790 4.702 4.790 -4.790 4.702 4.790 4.790 -4.702" Properties=species:S:1:pos:R:3 pbc="T T T"
Pr 0.000 0.000 0.000
Pr 2.468 3.659 -1.202
Pr 5.921 2.468 1.202
Pr 2.322 1.131 3.499
Pr -1.131 2.322 5.904
Er 0.000 4.790 2.351
Tl 5.624 3.053 -1.991
Tl 3.207 0.720 0.325
Tl 4.071 -1.583 4.376
Tl -0.834 1.737 2.710
Tl 3.053 3.956 1.991
Tl 0.720 6.373 -0.325
Tl 1.737 0.834 6.693
Tl 1.583 4.071 5.027
```

The following is a simulated powder diffractogram of Cd2CuO3. It was derived from a crystal structure in Alexandria, relaxed with PBE, using Cu Kα X-rays.

Top 6 peaks for 10° ≤ 2θ ≤ 90°, in order of rising 2θ:
32.2°, intensity 77
34.8°, intensity 86
35.5°, intensity 100
47.4°, intensity 26
58.7°, intensity 39
60.1°, intensity 33

```
6
Lattice="-1.919 6.032 1.679 1.919 -6.032 1.679 1.919 6.032 -1.679" Properties=species:S:1:pos:R:3 pbc="T T T"
Cd 0.000 1.848 0.000
Cd 0.000 10.216 0.000
Cu 1.919 0.000 1.666
O 1.919 -1.920 1.326
O 1.919 1.920 1.326
O 0.000 0.000 1.971
```